Entry 1:
Structure and calculated powder X-ray diffraction pattern of Nd2Ge2Pd3Pt (a DFT-relaxed cell (PBE, OQMD); Cu Kα X-rays).

Structure:
Unit cell a=4.441 b=4.441 c=9.398 alpha=90.00 beta=90.00 gamma=120.00
Sites, in units of the cell vectors:
Nd 0.000 0.000 0.000
Nd 0.333 0.667 0.498
Ge 0.667 0.333 0.243
Ge 0.667 0.333 0.746
Pd 0.000 0.000 0.329
Pd 0.000 0.000 0.672
Pd 0.333 0.667 0.823
Pt 0.333 0.667 0.172

Main lines, most intense first (15 to 90 degrees two-theta):
| 2θ/deg | I (rel.) |
| --- | --- |
| 37.01 | 100.0 |
| 40.63 | 73.0 |
| 56.12 | 29.9 |
| 71.55 | 28.7 |
| 23.13 | 23.9 |
| 73.93 | 12.3 |

---

Entry 2:
Structure and calculated powder X-ray diffraction pattern of Nd3Ge4Pd2Pt2 (a DFT-relaxed cell (PBE, OQMD); Cu Kα X-rays).

Structure:
Unit cell a=13.065 b=13.065 c=13.065 alpha=161.85 beta=160.74 gamma=26.58
Sites, in units of the cell vectors:
Nd 0.000 0.000 0.000
Nd 0.352 0.852 0.500
Nd 0.648 0.148 0.500
Ge 0.193 0.693 0.500
Ge 0.451 0.451 0.000
Ge 0.549 0.549 0.000
Ge 0.807 0.307 0.500
Pd 0.096 0.596 0.500
Pd 0.904 0.404 0.500
Pt 0.250 0.250 0.000
Pt 0.750 0.750 0.000

Main lines, most intense first (15 to 90 degrees two-theta):
| 2θ/deg | I (rel.) |
| --- | --- |
| 33.03 | 100.0 |
| 41.34 | 35.9 |
| 32.87 | 27.5 |
| 43.94 | 22.0 |
| 61.89 | 15.8 |
| 44.33 | 15.6 |